(1)
The following is a computed powder diffraction line list of Pm3Nd2Sn6. It was derived from the PBE geometry in Alexandria, using Cu Ka.

Structural model:
```
data_Pm3Nd2Sn6
_chemical_formula_sum 'Pm6 Nd4 Sn12'
_cell_length_a 5.9560
_cell_length_b 5.9560
_cell_length_c 22.1679
_cell_angle_alpha 90.00
_cell_angle_beta 90.00
_cell_angle_gamma 90.00
_space_group_name_H-M_alt 'I 4/m m m'
_space_group_IT_number 139
_space_group_name_Hall '-I 4 2'
loop_
_atom_site_label
_atom_site_fract_x
_atom_site_fract_y
_atom_site_fract_z
Pm1 0.0000 0.0000 0.0000
Pm2 0.0000 0.0000 0.1483
Nd1 0.0000 0.0000 0.4235
Sn1 0.0000 0.0000 0.2871
Sn2 0.0000 0.5000 0.0706
```

Top 12 peaks for 5 to 70 degrees two-theta, in order of rising 2θ:
index, Position (°2θ), I_rel
0 0 2, 7.98, 48
1 1 0, 21.09, 27
1 1 2, 22.58, 16
2 0 0, 30.01, 100
1 0 7, 32.01, 73
1 1 6, 32.25, 23
1 1 8, 38.88, 15
2 2 0, 42.95, 38
2 1 7, 44.44, 59
3 0 7, 54.56, 16
3 2 7, 63.52, 21
2 0 14, 66.93, 19

(2)
The following is a computed powder diffraction line list of La5B4Rh15. It was derived from the PBE geometry in Alexandria, using Cu Ka.

Structural model:
```
data_La5B4Rh15
_chemical_formula_sum 'La5 B4 Rh15'
_cell_length_a 4.2895
_cell_length_b 4.2895
_cell_length_c 20.9570
_cell_angle_alpha 90.00
_cell_angle_beta 90.00
_cell_angle_gamma 90.00
_space_group_name_H-M_alt 'P 4/m m m'
_space_group_IT_number 123
_space_group_name_Hall '-P 4 2'
loop_
_atom_site_label
_atom_site_fract_x
_atom_site_fract_y
_atom_site_fract_z
La1 0.0000 0.0000 0.0000
La2 0.0000 0.0000 0.2024
La3 0.0000 0.0000 0.4046
B1 0.5000 0.5000 0.1029
B2 0.5000 0.5000 0.3106
Rh1 0.0000 0.5000 0.1017
Rh2 0.0000 0.5000 0.3037
Rh3 0.0000 0.5000 0.5000
Rh4 0.5000 0.5000 0.0000
Rh5 0.5000 0.5000 0.2051
Rh6 0.5000 0.5000 0.4097
```

Top 12 peaks for 5 to 70 degrees two-theta, in order of rising 2θ:
index, Position (°2θ), I_rel
1 0 0, 20.71, 1
1 1 0, 29.45, 1
1 0 5, 29.80, 1
1 1 5, 36.57, 100
0 0 9, 38.67, 1
1 1 6, 39.34, 1
2 0 0, 42.13, 36
0 0 10, 43.17, 16
2 1 5, 52.45, 1
2 0 9, 58.51, 1
2 2 0, 61.11, 12
2 0 10, 61.90, 21

Q: Number 2 is which compound?
A: La5B4Rh15